# 1
This entry pairs a crystal structure of Sm2TmAl with its computed powder diffraction line list. Radiation: CuKα. Structure: a crystal structure in Alexandria, relaxed with GGA-PBE.
Peak positions follow from Bragg's law for the DFT cell and can differ from measured ones.

Atomic structure:
```
data_Sm2TmAl
_symmetry_space_group_name_H-M 'A m m 2'
_symmetry_Int_Tables_number 38
_cell_length_a 5.3126
_cell_length_b 6.9012
_cell_length_c 12.0263
_cell_angle_alpha 90.00
_cell_angle_beta 90.00
_cell_angle_gamma 90.00
loop_
_symmetry_equiv_pos_as_xyz
'x,y,z'
'-x,-y,z'
'-x,y,z'
'x,-y,z'
'x,y+1/2,z+1/2'
'-x,-y+1/2,z+1/2'
'-x,y+1/2,z+1/2'
'x,-y+1/2,z+1/2'
loop_
_atom_site_label
_atom_site_fract_x
_atom_site_fract_y
_atom_site_fract_z
Sm1 0.0000 0.0000 0.0000
Sm2 0.0000 0.2342 0.2362
Sm3 0.5000 0.0000 0.6471
Tm1 0.5000 0.2359 0.4101
Al1 0.0000 0.0000 0.4861
Al2 0.5000 0.0000 0.1578
```

Top 8 peaks for 10° ≤ 2θ ≤ 90°, in order of rising 2θ:
h k l	two_theta	intensity
1 0 2	22.4	43
0 2 2	29.9	25
2 0 0	33.7	36
1 0 4	34.3	52
1 2 2	34.4	100
2 2 2	45.6	23
3 0 4	60.7	29
2 2 6	64.2	21

=====

# 2
This entry pairs a crystal structure of LaScReO6 with its computed powder diffraction line list. Radiation: CuKα. Structure: a crystal structure in Alexandria, relaxed with GGA-PBE.
Peak positions follow from Bragg's law for the DFT cell and can differ from measured ones.

Atomic structure:
```
data_LaScReO6
_symmetry_space_group_name_H-M 'P 3 1 2'
_symmetry_Int_Tables_number 149
_cell_length_a 5.3388
_cell_length_b 5.3388
_cell_length_c 5.1677
_cell_angle_alpha 90.00
_cell_angle_beta 90.00
_cell_angle_gamma 120.00
loop_
_symmetry_equiv_pos_as_xyz
'x,y,z'
'-y,x-y,z'
'-x+y,-x,z'
'-y,-x,-z'
'-x+y,y,-z'
'x,x-y,-z'
loop_
_atom_site_label
_atom_site_fract_x
_atom_site_fract_y
_atom_site_fract_z
La1 0.0000 0.0000 0.0000
Sc1 0.3333 0.6667 0.5000
Re1 0.6667 0.3333 0.5000
O1 0.3753 0.0239 0.7116
```

Top 8 peaks for 10° ≤ 2θ ≤ 90°, in order of rising 2θ:
h k l	two_theta	intensity
1 0 0	19.2	21
1 0 1	25.9	100
1 1 0	33.6	32
2 0 1	42.9	24
2 -1 2	49.1	36
3 -1 1	55.5	24
3 0 0	60.0	11
3 1 1	76.5	11

=====

# 3
This entry pairs a crystal structure of BaBi2Pb with its computed powder diffraction line list. Radiation: CuKα. Structure: a crystal structure in Alexandria, relaxed with GGA-PBE.
Peak positions follow from Bragg's law for the DFT cell and can differ from measured ones.

Atomic structure:
```
data_BaBi2Pb
_symmetry_space_group_name_H-M 'F m m 2'
_symmetry_Int_Tables_number 42
_symmetry_space_group_name_Hall 'F 2 -2'
_cell_length_a 7.1408
_cell_length_b 23.8947
_cell_length_c 7.0955
_cell_angle_alpha 90.00
_cell_angle_beta 90.00
_cell_angle_gamma 90.00
loop_
_atom_site_label
_atom_site_fract_x
_atom_site_fract_y
_atom_site_fract_z
Ba1 0.0000 0.1100 0.0000
Bi1 0.0000 0.1567 0.4974
Bi2 0.2232 0.0000 0.2746
Pb1 0.2500 0.2500 0.2488
```

Top 8 peaks for 10° ≤ 2θ ≤ 90°, in order of rising 2θ:
h k l	two_theta	intensity
2 4 0	29.1	100
0 4 2	29.3	100
0 8 0	29.9	27
2 0 2	35.7	71
1 9 1	38.3	20
2 8 2	47.2	29
4 4 2	60.0	24
2 4 4	60.3	24

=====

# 4
This entry pairs a crystal structure of Ba2Zn2F7 with its computed powder diffraction line list. Radiation: CuKα. Structure: a crystal structure in Alexandria, relaxed with GGA-PBE.
Peak positions follow from Bragg's law for the DFT cell and can differ from measured ones.

Atomic structure:
```
data_Ba2Zn2F7
_symmetry_space_group_name_H-M 'P -1'
_symmetry_Int_Tables_number 2
_cell_length_a 4.7282
_cell_length_b 6.9693
_cell_length_c 7.3913
_cell_angle_alpha 115.16
_cell_angle_beta 99.61
_cell_angle_gamma 102.04
loop_
_symmetry_equiv_pos_as_xyz
'x,y,z'
'-x,-y,-z'
loop_
_atom_site_label
_atom_site_fract_x
_atom_site_fract_y
_atom_site_fract_z
Ba1 0.1165 0.3535 0.2032
Zn1 0.4001 0.0189 0.6625
F1 0.0000 0.0000 0.5000
F2 0.2211 0.0441 0.8975
F3 0.2863 0.6854 0.1230
F4 0.3494 0.6811 0.6115
```

Top 8 peaks for 10° ≤ 2θ ≤ 90°, in order of rising 2θ:
h k l	two_theta	intensity
1 0 -1	20.8	39
1 -1 1	24.4	100
0 1 1	24.7	44
-1 1 1	25.8	45
0 2 -1	26.1	65
1 1 0	28.6	31
1 1 -2	29.6	43
0 3 0	45.4	44

=====

# 5
This entry pairs a crystal structure of La4MgN with its computed powder diffraction line list. Radiation: CuKα. Structure: a crystal structure in Alexandria, relaxed with GGA-PBE.
Peak positions follow from Bragg's law for the DFT cell and can differ from measured ones.

Atomic structure:
```
data_La4MgN
_symmetry_space_group_name_H-M 'C 1 2/c 1'
_symmetry_Int_Tables_number 15
_cell_length_a 15.5542
_cell_length_b 6.4633
_cell_length_c 7.1069
_cell_angle_alpha 90.00
_cell_angle_beta 104.75
_cell_angle_gamma 90.00
loop_
_symmetry_equiv_pos_as_xyz
'x,y,z'
'-x,-y,-z'
'-x,y,-z+1/2'
'x,-y,z+1/2'
'x+1/2,y+1/2,z'
'-x+1/2,-y+1/2,-z'
'-x+1/2,y+1/2,-z+1/2'
'x+1/2,-y+1/2,z+1/2'
loop_
_atom_site_label
_atom_site_fract_x
_atom_site_fract_y
_atom_site_fract_z
La1 0.1009 0.0916 0.4672
La2 0.2000 0.4241 0.1610
Mg1 0.0000 0.4195 0.7500
N1 0.2500 0.2500 0.5000
```

Top 8 peaks for 10° ≤ 2θ ≤ 90°, in order of rising 2θ:
h k l	two_theta	intensity
2 0 0	11.8	35
3 1 1	28.2	41
4 0 -2	30.4	69
1 1 2	31.4	100
2 2 -1	31.6	100
5 1 0	32.8	91
3 3 1	49.2	40
1 3 -3	58.0	31

=====

# 6
This entry pairs a crystal structure of TbDyTmPu with its computed powder diffraction line list. Radiation: CuKα. Structure: a crystal structure in Alexandria, relaxed with GGA-PBE.
Peak positions follow from Bragg's law for the DFT cell and can differ from measured ones.

Atomic structure:
```
data_TbDyTmPu
_symmetry_space_group_name_H-M 'F -4 3 m'
_symmetry_Int_Tables_number 216
_symmetry_space_group_name_Hall 'F -4 2 3'
_cell_length_a 7.8656
_cell_length_b 7.8656
_cell_length_c 7.8656
_cell_angle_alpha 90.00
_cell_angle_beta 90.00
_cell_angle_gamma 90.00
loop_
_atom_site_label
_atom_site_fract_x
_atom_site_fract_y
_atom_site_fract_z
Tb1 0.0000 0.0000 0.0000
Dy1 0.2500 0.2500 0.2500
Tm1 0.2500 0.2500 0.7500
Pu1 0.0000 0.0000 0.5000
```

Top 8 peaks for 10° ≤ 2θ ≤ 90°, in order of rising 2θ:
h k l	two_theta	intensity
1 1 1	19.5	2
2 2 0	32.2	100
3 1 1	37.9	1
4 0 0	46.2	19
4 2 2	57.4	39
4 4 0	67.3	12
6 2 0	76.6	17
4 4 4	85.5	4